For TaVO2F, a crystal structure in Alexandria, relaxed with GGA+U gives the theoretical XRD peak list in this record (Cu Kα (weighted mean of Kα1 and Kα2)).
Intensities are scaled so that the largest is 100.

The 10 most intense peaks (10 to 80 degrees two-theta), by angle:
2θ (°), Rel. int.
21.30, 28.8
22.14, 56.9
30.91, 100.0
31.51, 50.4
43.38, 17.5
45.17, 31.0
49.22, 14.0
54.59, 21.7
55.73, 38.4
64.41, 20.1

Atomic structure:
```
data_TaVO2F
_chemical_formula_sum 'Ta1 V1 O2 F1'
_space_group_name_H-M_alt 'P 4/m m m'
_space_group_IT_number 123
_space_group_name_Hall '-P 4 2'
_cell_length_a 4.015
_cell_length_b 4.015
_cell_length_c 4.172
_cell_angle_alpha 90.00
_cell_angle_beta 90.00
_cell_angle_gamma 90.00
loop_
_atom_site_label
_atom_site_type_symbol
_atom_site_fract_x
_atom_site_fract_y
_atom_site_fract_z
Ta1 Ta 0.000 0.000 0.000
V1 V 0.500 0.500 0.500
O1 O 0.000 0.500 0.000
F1 F 0.000 0.000 0.500
```